This entry pairs a crystal structure of Zn2SiTe with its simulated X-ray diffraction stick pattern. Radiation: copper Kα. Structure: a cell relaxed with GGA-PBE.
Neutral-atom scattering factors, no anomalous dispersion.

The 12 most intense peaks (10° ≤ 2θ ≤ 90°), sorted by position:
2theta  d/Å  intensity
12.3  7.210  22
24.7  3.597  100
30.0  2.983  57
32.9  2.721  49
37.1  2.421  26
39.2  2.296  39
43.5  2.079  35
43.7  2.073  31
45.1  2.010  70
48.7  1.872  22
53.7  1.706  21
53.9  1.702  21

Structural model:
a b c (Å): 2.983 4.146 7.210
angles (deg): 90.00 90.01 90.00
Element x y z (fractional)
1 Zn 0.000 0.000 0.000
2 Zn 0.003 0.500 0.612
3 Si 0.503 0.500 0.897
4 Te 0.003 0.000 0.380


This entry pairs a crystal structure of Zn2SiTe with its simulated X-ray diffraction stick pattern. Radiation: copper Kα. Structure: a cell relaxed with GGA-PBE.
Neutral-atom scattering factors, no anomalous dispersion.

The 12 most intense peaks (10° ≤ 2θ ≤ 90°), sorted by position:
2theta  d/Å  intensity
12.4  7.115  16
28.8  3.104  19
33.1  2.704  100
35.5  2.528  20
37.9  2.372  9
44.6  2.032  39
50.4  1.811  31
61.6  1.505  16
64.8  1.439  10
69.5  1.352  10
74.8  1.269  13
83.5  1.157  13

Structural model:
a b c (Å): 3.622 3.622 21.345
angles (deg): 90.00 90.00 120.00
Element x y z (fractional)
1 Zn 0.000 0.000 0.239
2 Zn 0.000 0.000 0.761
3 Zn 0.333 0.667 0.427
4 Zn 0.333 0.667 0.906
5 Zn 0.667 0.333 0.094
6 Zn 0.667 0.333 0.573
7 Si 0.000 0.000 0.500
8 Si 0.333 0.667 0.167
9 Si 0.667 0.333 0.833
10 Te 0.000 0.000 0.000
11 Te 0.333 0.667 0.667
12 Te 0.667 0.333 0.333


This entry pairs a crystal structure of Th2Si3 with its simulated X-ray diffraction stick pattern. Radiation: copper Kα. Structure: a cell relaxed with GGA-PBE.
Neutral-atom scattering factors, no anomalous dispersion.

The 12 most intense peaks (10° ≤ 2θ ≤ 90°), sorted by position:
2theta  d/Å  intensity
22.1  4.020  37
23.2  3.830  37
25.5  3.489  34
28.6  3.117  34
29.5  3.026  25
33.6  2.670  100
38.7  2.324  18
39.4  2.286  19
50.4  1.812  18
50.7  1.800  20
51.2  1.784  18
70.5  1.335  15

Structural model:
a b c (Å): 3.983 4.197 13.958
angles (deg): 90.00 90.00 90.00
Element x y z (fractional)
1 Th 0.000 0.000 0.000
2 Th 0.000 0.500 0.251
3 Th 0.500 0.000 0.751
4 Th 0.500 0.500 0.500
5 Si 0.000 0.000 0.418
6 Si 0.000 0.000 0.587
7 Si 0.000 0.500 0.823
8 Si 0.500 0.000 0.323
9 Si 0.500 0.500 0.087
10 Si 0.500 0.500 0.918


This entry pairs a crystal structure of Th4ZnSi with its simulated X-ray diffraction stick pattern. Radiation: copper Kα. Structure: a cell relaxed with GGA-PBE.
Neutral-atom scattering factors, no anomalous dispersion.

The 12 most intense peaks (10° ≤ 2θ ≤ 90°), sorted by position:
2theta  d/Å  intensity
23.7  3.749  8
30.9  2.898  100
31.1  2.880  17
35.5  2.531  9
37.9  2.371  20
39.5  2.284  14
49.8  1.831  8
51.7  1.767  8
52.8  1.734  17
55.1  1.666  20
61.6  1.506  15
69.4  1.353  12

Structural model:
a b c (Å): 7.498 7.498 5.760
angles (deg): 90.00 90.00 90.00
Element x y z (fractional)
1 Th 0.155 0.334 0.000
2 Th 0.155 0.666 0.500
3 Th 0.334 0.155 0.500
4 Th 0.334 0.845 0.000
5 Th 0.666 0.155 0.000
6 Th 0.666 0.845 0.500
7 Th 0.845 0.334 0.500
8 Th 0.845 0.666 0.000
9 Zn 0.500 0.500 0.250
10 Zn 0.500 0.500 0.750
11 Si 0.000 0.000 0.250
12 Si 0.000 0.000 0.750


This entry pairs a crystal structure of ThZnSi with its simulated X-ray diffraction stick pattern. Radiation: copper Kα. Structure: a cell relaxed with GGA-PBE.
Neutral-atom scattering factors, no anomalous dispersion.

The 12 most intense peaks (10° ≤ 2θ ≤ 90°), sorted by position:
2theta  d/Å  intensity
22.1  4.018  33
24.6  3.622  20
28.2  3.161  48
32.7  2.738  100
37.8  2.382  44
43.3  2.091  33
49.1  1.855  30
50.4  1.811  16
52.5  1.744  18
58.8  1.571  25
67.5  1.388  18
72.7  1.301  31

Structural model:
a b c (Å): 4.182 4.182 14.489
angles (deg): 90.00 90.00 90.00
Element x y z (fractional)
1 Th 0.000 0.000 0.000
2 Th 0.000 0.500 0.250
3 Th 0.500 0.000 0.750
4 Th 0.500 0.500 0.500
5 Zn 0.000 0.500 0.666
6 Zn 0.000 0.500 0.834
7 Zn 0.500 0.000 0.166
8 Zn 0.500 0.000 0.334
9 Si 0.000 0.000 0.418
10 Si 0.000 0.000 0.582
11 Si 0.500 0.500 0.082
12 Si 0.500 0.500 0.918


This entry pairs a crystal structure of ThZrSi4 with its simulated X-ray diffraction stick pattern. Radiation: copper Kα. Structure: a cell relaxed with GGA-PBE.
Neutral-atom scattering factors, no anomalous dispersion.

The 12 most intense peaks (10° ≤ 2θ ≤ 90°), sorted by position:
2theta  d/Å  intensity
20.5  4.341  35
23.1  3.848  32
24.6  3.614  57
25.2  3.531  39
31.1  2.879  44
32.2  2.778  28
34.0  2.634  100
34.5  2.601  60
37.0  2.428  22
38.5  2.340  22
46.9  1.938  22
47.2  1.924  23

Structural model:
a b c (Å): 7.418 16.058 3.848
angles (deg): 90.00 90.00 90.00
Element x y z (fractional)
1 Th 0.132 0.165 0.000
2 Th 0.368 0.665 0.000
3 Th 0.632 0.335 0.000
4 Th 0.868 0.835 0.000
5 Zr 0.133 0.413 0.000
6 Zr 0.367 0.913 0.000
7 Zr 0.633 0.087 0.000
8 Zr 0.867 0.587 0.000
9 Si 0.030 0.688 0.500
10 Si 0.103 0.944 0.500
11 Si 0.142 0.545 0.500
12 Si 0.210 0.805 0.500
13 Si 0.290 0.305 0.500
14 Si 0.358 0.045 0.500
15 Si 0.397 0.444 0.500
16 Si 0.470 0.188 0.500
17 Si 0.530 0.812 0.500
18 Si 0.603 0.556 0.500
19 Si 0.642 0.955 0.500
20 Si 0.710 0.695 0.500
21 Si 0.790 0.195 0.500
22 Si 0.858 0.455 0.500
23 Si 0.897 0.056 0.500
24 Si 0.970 0.312 0.500


This entry pairs a crystal structure of Th3ZrSi6 with its simulated X-ray diffraction stick pattern. Radiation: copper Kα. Structure: a cell relaxed with GGA-PBE.
Neutral-atom scattering factors, no anomalous dispersion.

The 12 most intense peaks (10° ≤ 2θ ≤ 90°), sorted by position:
2theta  d/Å  intensity
15.6  5.698  23
18.1  4.912  34
23.9  3.720  46
25.1  3.543  33
28.4  3.147  50
31.4  2.849  26
33.7  2.661  100
36.5  2.464  55
36.6  2.456  62
48.7  1.871  27
54.0  1.697  27
58.4  1.580  20

Structural model:
a b c (Å): 7.586 7.586 7.586
angles (deg): 97.38 97.38 97.38
Element x y z (fractional)
1 Th 0.187 0.750 0.313
2 Th 0.250 0.687 0.813
3 Th 0.313 0.187 0.750
4 Th 0.687 0.813 0.250
5 Th 0.750 0.313 0.187
6 Th 0.813 0.250 0.687
7 Zr 0.000 0.000 0.000
8 Zr 0.500 0.500 0.500
9 Si 0.021 0.092 0.378
10 Si 0.092 0.378 0.021
11 Si 0.122 0.408 0.479
12 Si 0.378 0.021 0.092
13 Si 0.408 0.479 0.122
14 Si 0.479 0.122 0.408
15 Si 0.521 0.878 0.592
16 Si 0.592 0.521 0.878
17 Si 0.622 0.979 0.908
18 Si 0.878 0.592 0.521
19 Si 0.908 0.622 0.979
20 Si 0.979 0.908 0.622


This entry pairs a crystal structure of Ti3Si23 with its simulated X-ray diffraction stick pattern. Radiation: copper Kα. Structure: a cell relaxed with GGA-PBE.
Neutral-atom scattering factors, no anomalous dispersion.

The 12 most intense peaks (10° ≤ 2θ ≤ 90°), sorted by position:
2theta  d/Å  intensity
21.5  4.125  12
27.9  3.196  12
30.6  2.917  67
31.9  2.803  59
33.2  2.701  100
35.5  2.526  14
36.7  2.451  22
52.8  1.733  74
53.7  1.708  19
54.5  1.684  22
56.1  1.639  44
82.0  1.175  11

Structural model:
a b c (Å): 10.105 10.105 10.105
angles (deg): 90.00 90.00 90.00
Element x y z (fractional)
1 Ti 0.000 0.250 0.500
2 Ti 0.000 0.750 0.500
3 Ti 0.250 0.500 0.000
4 Ti 0.500 0.000 0.250
5 Ti 0.500 0.000 0.750
6 Ti 0.750 0.500 0.000
7 Si 0.000 0.311 0.116
8 Si 0.000 0.311 0.884
9 Si 0.000 0.500 0.250
10 Si 0.000 0.500 0.750
11 Si 0.000 0.689 0.116
12 Si 0.000 0.689 0.884
13 Si 0.116 0.000 0.311
14 Si 0.116 0.000 0.689
15 Si 0.184 0.184 0.184
16 Si 0.184 0.184 0.816
17 Si 0.184 0.816 0.184
18 Si 0.184 0.816 0.816
19 Si 0.189 0.500 0.384
20 Si 0.189 0.500 0.616
21 Si 0.250 0.000 0.500
22 Si 0.311 0.116 0.000
23 Si 0.311 0.884 0.000
24 Si 0.316 0.316 0.316
25 Si 0.316 0.316 0.684
26 Si 0.316 0.684 0.316
27 Si 0.316 0.684 0.684
28 Si 0.384 0.189 0.500
29 Si 0.384 0.811 0.500
30 Si 0.500 0.250 0.000
31 Si 0.500 0.384 0.189
32 Si 0.500 0.384 0.811
33 Si 0.500 0.616 0.189
34 Si 0.500 0.616 0.811
35 Si 0.500 0.750 0.000
36 Si 0.616 0.189 0.500
37 Si 0.616 0.811 0.500
38 Si 0.684 0.316 0.316
39 Si 0.684 0.316 0.684
40 Si 0.684 0.684 0.316
41 Si 0.684 0.684 0.684
42 Si 0.689 0.116 0.000
43 Si 0.689 0.884 0.000
44 Si 0.750 0.000 0.500
45 Si 0.811 0.500 0.384
46 Si 0.811 0.500 0.616
47 Si 0.816 0.184 0.184
48 Si 0.816 0.184 0.816
49 Si 0.816 0.816 0.184
50 Si 0.816 0.816 0.816
51 Si 0.884 0.000 0.311
52 Si 0.884 0.000 0.689


This entry pairs a crystal structure of Ti5Si4 with its simulated X-ray diffraction stick pattern. Radiation: copper Kα. Structure: a cell relaxed with GGA-PBE.
Neutral-atom scattering factors, no anomalous dispersion.

The 12 most intense peaks (10° ≤ 2θ ≤ 90°), sorted by position:
2theta  d/Å  intensity
33.3  2.689  16
35.0  2.562  32
37.3  2.411  86
38.7  2.326  100
41.7  2.167  88
42.3  2.136  14
43.1  2.097  84
44.3  2.047  14
45.3  2.002  15
57.0  1.616  20
63.5  1.466  19
66.7  1.402  19

Structural model:
a b c (Å): 6.702 6.702 12.180
angles (deg): 90.00 90.00 90.00
Element x y z (fractional)
1 Ti 0.003 0.345 0.218
2 Ti 0.004 0.851 0.122
3 Ti 0.149 0.996 0.378
4 Ti 0.155 0.503 0.468
5 Ti 0.171 0.171 0.000
6 Ti 0.329 0.671 0.250
7 Ti 0.345 0.003 0.782
8 Ti 0.351 0.496 0.872
9 Ti 0.496 0.351 0.128
10 Ti 0.497 0.845 0.032
11 Ti 0.503 0.155 0.532
12 Ti 0.504 0.649 0.628
13 Ti 0.649 0.504 0.372
14 Ti 0.655 0.997 0.282
15 Ti 0.671 0.329 0.750
16 Ti 0.829 0.829 0.500
17 Ti 0.845 0.497 0.968
18 Ti 0.851 0.004 0.878
19 Ti 0.996 0.149 0.622
20 Ti 0.997 0.655 0.718
21 Si 0.044 0.302 0.813
22 Si 0.143 0.795 0.923
23 Si 0.198 0.544 0.063
24 Si 0.205 0.857 0.577
25 Si 0.295 0.357 0.673
26 Si 0.302 0.044 0.187
27 Si 0.357 0.295 0.327
28 Si 0.456 0.802 0.437
29 Si 0.544 0.198 0.937
30 Si 0.643 0.705 0.827
31 Si 0.698 0.956 0.687
32 Si 0.705 0.643 0.173
33 Si 0.795 0.143 0.077
34 Si 0.802 0.456 0.563
35 Si 0.857 0.205 0.423
36 Si 0.956 0.698 0.313


This entry pairs a crystal structure of TiSi23 with its simulated X-ray diffraction stick pattern. Radiation: copper Kα. Structure: a cell relaxed with GGA-PBE.
Neutral-atom scattering factors, no anomalous dispersion.

The 12 most intense peaks (10° ≤ 2θ ≤ 90°), sorted by position:
2theta  d/Å  intensity
12.3  7.209  48
19.5  4.560  65
31.6  2.828  15
32.9  2.725  100
36.3  2.473  22
37.4  2.403  23
40.5  2.225  21
48.1  1.893  16
52.3  1.748  39
53.1  1.723  19
54.0  1.699  21
55.6  1.654  44

Structural model:
a b c (Å): 10.195 10.195 10.195
angles (deg): 90.00 90.00 90.00
Element x y z (fractional)
1 Ti 0.000 0.000 0.000
2 Ti 0.500 0.500 0.500
3 Si 0.000 0.116 0.308
4 Si 0.000 0.116 0.692
5 Si 0.000 0.250 0.500
6 Si 0.000 0.750 0.500
7 Si 0.000 0.884 0.308
8 Si 0.000 0.884 0.692
9 Si 0.116 0.308 0.000
10 Si 0.116 0.692 0.000
11 Si 0.182 0.182 0.182
12 Si 0.182 0.182 0.818
13 Si 0.182 0.818 0.182
14 Si 0.182 0.818 0.818
15 Si 0.192 0.384 0.500
16 Si 0.192 0.616 0.500
17 Si 0.250 0.500 0.000
18 Si 0.308 0.000 0.116
19 Si 0.308 0.000 0.884
20 Si 0.318 0.318 0.318
21 Si 0.318 0.318 0.682
22 Si 0.318 0.682 0.318
23 Si 0.318 0.682 0.682
24 Si 0.384 0.500 0.192
25 Si 0.384 0.500 0.808
26 Si 0.500 0.000 0.250
27 Si 0.500 0.000 0.750
28 Si 0.500 0.192 0.384
29 Si 0.500 0.192 0.616
30 Si 0.500 0.808 0.384
31 Si 0.500 0.808 0.616
32 Si 0.616 0.500 0.192
33 Si 0.616 0.500 0.808
34 Si 0.682 0.318 0.318
35 Si 0.682 0.318 0.682
36 Si 0.682 0.682 0.318
37 Si 0.682 0.682 0.682
38 Si 0.692 0.000 0.116
39 Si 0.692 0.000 0.884
40 Si 0.750 0.500 0.000
41 Si 0.808 0.384 0.500
42 Si 0.808 0.616 0.500
43 Si 0.818 0.182 0.182
44 Si 0.818 0.182 0.818
45 Si 0.818 0.818 0.182
46 Si 0.818 0.818 0.818
47 Si 0.884 0.308 0.000
48 Si 0.884 0.692 0.000


This entry pairs a crystal structure of Ti3Si4 with its simulated X-ray diffraction stick pattern. Radiation: copper Kα. Structure: a cell relaxed with GGA-PBE.
Neutral-atom scattering factors, no anomalous dispersion.

The 12 most intense peaks (10° ≤ 2θ ≤ 90°), sorted by position:
2theta  d/Å  intensity
30.7  2.913  14
34.1  2.627  13
34.6  2.594  15
38.8  2.321  48
39.4  2.284  100
41.4  2.181  11
42.6  2.123  17
44.5  2.036  25
48.5  1.877  25
52.3  1.750  22
53.4  1.716  10
74.0  1.280  9

Structural model:
a b c (Å): 4.968 4.968 12.738
angles (deg): 90.01 90.01 41.26
Element x y z (fractional)
1 Ti 0.056 0.056 0.250
2 Ti 0.332 0.332 0.403
3 Ti 0.333 0.333 0.097
4 Ti 0.667 0.667 0.903
5 Ti 0.668 0.668 0.597
6 Ti 0.944 0.944 0.750
7 Si 0.000 0.000 0.000
8 Si 0.000 0.000 0.500
9 Si 0.218 0.218 0.750
10 Si 0.380 0.380 0.893
11 Si 0.381 0.381 0.607
12 Si 0.619 0.619 0.393
13 Si 0.620 0.620 0.107
14 Si 0.782 0.782 0.250


Copy entry 10 word for word.
This entry pairs a crystal structure of TiSi23 with its simulated X-ray diffraction stick pattern. Radiation: copper Kα. Structure: a cell relaxed with GGA-PBE.
Neutral-atom scattering factors, no anomalous dispersion.

The 12 most intense peaks (10° ≤ 2θ ≤ 90°), sorted by position:
2theta  d/Å  intensity
12.3  7.209  48
19.5  4.560  65
31.6  2.828  15
32.9  2.725  100
36.3  2.473  22
37.4  2.403  23
40.5  2.225  21
48.1  1.893  16
52.3  1.748  39
53.1  1.723  19
54.0  1.699  21
55.6  1.654  44

Structural model:
a b c (Å): 10.195 10.195 10.195
angles (deg): 90.00 90.00 90.00
Element x y z (fractional)
1 Ti 0.000 0.000 0.000
2 Ti 0.500 0.500 0.500
3 Si 0.000 0.116 0.308
4 Si 0.000 0.116 0.692
5 Si 0.000 0.250 0.500
6 Si 0.000 0.750 0.500
7 Si 0.000 0.884 0.308
8 Si 0.000 0.884 0.692
9 Si 0.116 0.308 0.000
10 Si 0.116 0.692 0.000
11 Si 0.182 0.182 0.182
12 Si 0.182 0.182 0.818
13 Si 0.182 0.818 0.182
14 Si 0.182 0.818 0.818
15 Si 0.192 0.384 0.500
16 Si 0.192 0.616 0.500
17 Si 0.250 0.500 0.000
18 Si 0.308 0.000 0.116
19 Si 0.308 0.000 0.884
20 Si 0.318 0.318 0.318
21 Si 0.318 0.318 0.682
22 Si 0.318 0.682 0.318
23 Si 0.318 0.682 0.682
24 Si 0.384 0.500 0.192
25 Si 0.384 0.500 0.808
26 Si 0.500 0.000 0.250
27 Si 0.500 0.000 0.750
28 Si 0.500 0.192 0.384
29 Si 0.500 0.192 0.616
30 Si 0.500 0.808 0.384
31 Si 0.500 0.808 0.616
32 Si 0.616 0.500 0.192
33 Si 0.616 0.500 0.808
34 Si 0.682 0.318 0.318
35 Si 0.682 0.318 0.682
36 Si 0.682 0.682 0.318
37 Si 0.682 0.682 0.682
38 Si 0.692 0.000 0.116
39 Si 0.692 0.000 0.884
40 Si 0.750 0.500 0.000
41 Si 0.808 0.384 0.500
42 Si 0.808 0.616 0.500
43 Si 0.818 0.182 0.182
44 Si 0.818 0.182 0.818
45 Si 0.818 0.818 0.182
46 Si 0.818 0.818 0.818
47 Si 0.884 0.308 0.000
48 Si 0.884 0.692 0.000


Number 9 is which compound? Ti5Si4